The following is a computed powder diffraction line list of Cs3Tb3TmTe8. It was derived from a structure optimized by DFT (GGA-PBE), using a wavelength of 1.5418 Å.

Structural model:
abc: 8.8589 8.8589 27.7009
angles: 90.00 90.00 120.00
Space group R-3m (No. 166, hexagonal axes)
Symmetry-distinct sites (fractional):
Cs 0.0000 0.5000 0.0000 (multiplicity 9)
Tb 0.0000 0.5000 0.5000 (multiplicity 9)
Tm 0.0000 0.0000 0.5000 (multiplicity 3)
Te 0.0000 0.0000 0.2306 (multiplicity 6)
Te 0.0019 0.5009 0.2298 (multiplicity 18)

Main lines, low angle first (5° ≤ 2θ ≤ 70°):
2θ/deg  intensity
9.6  35
26.6  100
32.5  17
34.9  34
40.7  36
43.0  12
49.3  21
54.7  9
57.7  8
65.8  15

---

The following is a computed powder diffraction line list of La2PrIr2. It was derived from a structure optimized by DFT (GGA-PBE), using a wavelength of 1.5418 Å.

Structural model:
abc: 4.272 5.733 12.651
angles: 90.00 90.00 90.00
Space group Immm (No. 71)
Symmetry-distinct sites (fractional):
La 0.000 0.000 0.185 (multiplicity 4)
Pr 0.000 0.000 0.500 (multiplicity 2)
Ir 0.000 0.500 0.156 (multiplicity 4)

Main lines, low angle first (5° ≤ 2θ ≤ 70°):
2θ/deg  intensity
14.0  18
17.0  38
29.8  100
31.2  47
38.7  26
42.3  21
42.9  15
43.7  71
53.5  21
54.0  16

---

The following is a computed powder diffraction line list of Ca2Ga4Ir3. It was derived from a structure optimized by DFT (GGA-PBE), using a wavelength of 1.5418 Å.

Structural model:
abc: 5.571 9.620 12.725
angles: 90.00 90.00 90.00
Space group Fmmm (No. 69)
Symmetry-distinct sites (fractional):
Ca 0.000 0.000 0.124 (multiplicity 8)
Ga 0.000 0.172 0.340 (multiplicity 16)
Ir 0.000 0.000 0.500 (multiplicity 4)
Ir 0.250 0.250 0.000 (multiplicity 8)

Main lines, low angle first (5° ≤ 2θ ≤ 70°):
2θ/deg  intensity
13.9  94
18.4  18
19.7  36
37.3  34
38.7  46
40.0  100
42.6  22
43.2  13
47.3  46
67.4  14

---

The following is a computed powder diffraction line list of Ti2SnPd6. It was derived from a structure optimized by DFT (GGA-PBE), using a wavelength of 1.5418 Å.

Structural model:
abc: 14.094 7.415 2.959
angles: 90.00 101.74 90.00
Space group C2/m (No. 12)
Symmetry-distinct sites (fractional):
Ti 0.165 0.000 0.162 (multiplicity 4)
Sn 0.000 0.500 0.500 (multiplicity 2)
Pd 0.000 0.185 0.000 (multiplicity 4)
Pd 0.169 0.303 0.668 (multiplicity 8)

Main lines, low angle first (5° ≤ 2θ ≤ 70°):
2θ/deg  intensity
24.0  27
32.6  63
36.0  23
36.2  22
39.2  72
41.5  100
43.7  70
43.9  69
51.7  17
62.8  17

---

The following is a computed powder diffraction line list of Pm4B2Cl5. It was derived from a structure optimized by DFT (GGA-PBE), using a wavelength of 1.5418 Å.

Structural model:
abc: 20.022 3.919 7.915
angles: 90.00 104.77 90.00
Space group C2/m (No. 12)
Symmetry-distinct sites (fractional):
Pm 0.003 0.000 0.216 (multiplicity 4)
Pm 0.164 0.500 0.117 (multiplicity 4)
B 0.041 0.500 0.025 (multiplicity 4)
Cl 0.000 0.500 0.500 (multiplicity 2)
Cl 0.162 0.000 0.365 (multiplicity 4)
Cl 0.175 0.000 0.868 (multiplicity 4)

Main lines, low angle first (5° ≤ 2θ ≤ 70°):
2θ/deg  intensity
9.1  28
11.6  66
16.5  29
26.6  42
27.1  24
27.6  100
32.2  87
42.0  40
43.8  37
46.3  22

---

The following is a computed powder diffraction line list of CdIn2. It was derived from a structure optimized by DFT (GGA-PBE), using a wavelength of 1.5418 Å.

Structural model:
abc: 7.326 7.326 5.899
angles: 90.00 90.00 90.00
Space group I4/mcm (No. 140)
Symmetry-distinct sites (fractional):
Cd 0.000 0.000 0.250 (multiplicity 4)
In 0.149 0.351 0.000 (multiplicity 8)

Main lines, low angle first (5° ≤ 2θ ≤ 70°):
2θ/deg  intensity
31.2  100
34.6  11
35.0  44
38.9  51
39.2  28
53.9  7
54.4  20
56.1  8
59.4  22
62.3  21

---

The following is a computed powder diffraction line list of Dy2Mn9Cr3Ge12. It was derived from a structure optimized by DFT (GGA-PBE), using a wavelength of 1.5418 Å.

Structural model:
abc: 5.153 16.325 5.174
angles: 90.00 119.74 90.00
Space group P2 (No. 3)
Symmetry-distinct sites (fractional):
Dy 0.000 0.000 0.000 (multiplicity 1)
Dy 0.000 0.500 0.000 (multiplicity 1)
Mn 0.000 0.125 0.500 (multiplicity 1)
Mn 0.000 0.625 0.500 (multiplicity 1)
Mn 0.500 0.126 0.000 (multiplicity 1)
Mn 0.500 0.127 0.500 (multiplicity 1)
Mn 0.500 0.375 0.000 (multiplicity 1)
Mn 0.500 0.375 0.500 (multiplicity 1)
Mn 0.500 0.625 0.500 (multiplicity 1)
Mn 0.500 0.626 0.000 (multiplicity 1)
Mn 0.500 0.875 0.000 (multiplicity 1)
Cr 0.000 0.376 0.500 (multiplicity 1)
Cr 0.000 0.875 0.500 (multiplicity 1)
Cr 0.500 0.875 0.500 (multiplicity 1)
Ge 0.000 0.173 0.000 (multiplicity 1)
Ge 0.000 0.327 0.000 (multiplicity 1)
Ge 0.000 0.673 0.000 (multiplicity 1)
Ge 0.000 0.827 0.000 (multiplicity 1)
Ge 0.331 0.250 0.667 (multiplicity 2)
Ge 0.332 0.501 0.667 (multiplicity 2)
Ge 0.333 0.749 0.664 (multiplicity 2)
Ge 0.334 0.001 0.665 (multiplicity 2)

Main lines, low angle first (5° ≤ 2θ ≤ 70°):
2θ/deg  intensity
34.6  76
34.8  38
38.7  42
40.1  25
40.4  47
41.3  100
41.4  49
44.4  35
46.3  37
48.5  22

---

The following is a computed powder diffraction line list of BaIn3Ag3. It was derived from a structure optimized by DFT (GGA-PBE), using a wavelength of 1.5418 Å.

Structural model:
abc: 9.0316 9.0316 16.5520
angles: 90.00 90.00 120.00
Space group R-3 (No. 148, hexagonal axes)
Symmetry-distinct sites (fractional):
Ba 0.0000 0.0000 0.1747 (multiplicity 6)
In 0.0120 0.3598 0.2947 (multiplicity 18)
Ag 0.0033 0.2614 0.4528 (multiplicity 18)

Main lines, low angle first (5° ≤ 2θ ≤ 70°):
2θ/deg  intensity
19.7  26
23.4  19
25.2  20
25.5  32
34.4  85
37.4  21
38.2  100
40.9  17
52.4  17
56.4  22

---

The following is a computed powder diffraction line list of K2InPb. It was derived from a structure optimized by DFT (GGA-PBE), using a wavelength of 1.5418 Å.

Structural model:
abc: 3.971 3.971 10.622
angles: 90.00 90.00 90.00
Space group P4mm (No. 99)
Symmetry-distinct sites (fractional):
K 0.000 0.000 0.000 (multiplicity 1)
K 0.500 0.500 0.385 (multiplicity 1)
In 0.500 0.500 0.779 (multiplicity 1)
Pb 0.000 0.000 0.616 (multiplicity 1)

Main lines, low angle first (5° ≤ 2θ ≤ 70°):
2θ/deg  intensity
8.3  100
23.9  7
28.1  46
31.9  25
33.0  18
33.9  33
45.7  9
54.1  8
54.5  14
58.1  14

---

The following is a computed powder diffraction line list of Hf2InSe4. It was derived from a structure optimized by DFT (GGA-PBE), using a wavelength of 1.5418 Å.

Structural model:
abc: 3.878 13.003 13.571
angles: 90.00 90.00 90.00
Space group Cmcm (No. 63)
Symmetry-distinct sites (fractional):
Hf 0.000 0.135 0.062 (multiplicity 8)
In 0.000 0.406 0.250 (multiplicity 4)
Se 0.000 0.079 0.250 (multiplicity 4)
Se 0.000 0.230 0.613 (multiplicity 8)
Se 0.000 0.500 0.000 (multiplicity 4)

Main lines, low angle first (5° ≤ 2θ ≤ 70°):
2θ/deg  intensity
13.0  36
24.0  96
29.7  44
30.9  63
31.7  100
33.7  67
35.8  32
41.2  62
46.6  56
46.9  39

---

The following is a computed powder diffraction line list of KAlIn2Cl6. It was derived from a structure optimized by DFT (GGA-PBE), using a wavelength of 1.5418 Å.

Structural model:
abc: 7.1402 7.1402 7.7425
angles: 90.00 90.00 120.00
Space group P-3m1 (No. 164)
Symmetry-distinct sites (fractional):
K 0.0000 0.0000 0.0000 (multiplicity 1)
Al 0.0000 0.0000 0.5000 (multiplicity 1)
In 0.3333 0.6667 0.6003 (multiplicity 2)
Cl 0.1553 0.3107 0.3238 (multiplicity 6)

Main lines, low angle first (5° ≤ 2θ ≤ 70°):
2θ/deg  intensity
11.4  100
18.4  30
24.9  34
27.2  23
27.5  20
31.1  75
34.2  18
37.2  54
37.8  17
51.2  20

---

The following is a computed powder diffraction line list of Tb6PmTm12. It was derived from a structure optimized by DFT (GGA-PBE), using a wavelength of 1.5418 Å.

Structural model:
abc: 14.7244 14.7244 10.3356
angles: 90.00 90.00 120.00
Space group R-3m (No. 166, hexagonal axes)
Symmetry-distinct sites (fractional):
Tb 0.0681 0.5341 0.2210 (multiplicity 18)
Pm 0.0000 0.0000 0.0000 (multiplicity 3)
Tm 0.0000 0.3879 0.5000 (multiplicity 18)
Tm 0.0779 0.1559 0.2619 (multiplicity 18)

Main lines, low angle first (5° ≤ 2θ ≤ 70°):
2θ/deg  intensity
26.6  81
28.6  41
31.8  100
33.5  65
35.3  85
37.6  36
39.4  46
57.4  23
62.4  36
63.1  24